Record 1
# BaPuCl5
Computed powder X-ray diffraction pattern, λ = 1.5418 Å (Cu Kα). Input: the PBE geometry in Alexandria.
Kinematic intensities with the Lorentz-polarization factor, no thermal factor.

Most intense lines, 5° ≤ 2θ ≤ 70°, by angle:
2theta	I (rel.)
12.6	27
15.6	96
19.5	100
19.9	45
25.1	21
31.4	38
33.9	24
34.6	31
37.2	22
37.3	30
37.5	27
38.1	25

Crystal structure
```
data_BaPuCl5
_chemical_formula_sum 'Ba4 Pu4 Cl20'
_cell_length_a 12.5374
_cell_length_b 8.9260
_cell_length_c 10.5906
_cell_angle_alpha 90.00
_cell_angle_beta 114.71
_cell_angle_gamma 90.00
_symmetry_space_group_name_H-M 'C 1 2/c 1'
_symmetry_Int_Tables_number 15
_symmetry_space_group_name_Hall '-C 2yc'
loop_
_atom_site_label
_atom_site_fract_x
_atom_site_fract_y
_atom_site_fract_z
Ba1 0.0000 0.0508 0.2500
Pu1 0.0000 0.5000 0.0000
Cl1 0.0000 0.4134 0.2500
Cl2 0.0162 0.1968 0.9742
Cl3 0.2326 0.4699 0.6195
```



Record 2
# Rb2BaCl4
Computed powder X-ray diffraction pattern, λ = 1.5418 Å (Cu Kα). Input: the PBE geometry in Alexandria.
Kinematic intensities with the Lorentz-polarization factor, no thermal factor.

Most intense lines, 5° ≤ 2θ ≤ 70°, by angle:
2theta	I (rel.)
13.6	29
19.1	56
22.1	62
23.1	24
26.3	36
28.6	100
29.2	28
33.9	45
34.5	24
35.3	30
38.6	34
40.4	23

Crystal structure
```
data_Rb2BaCl4
_chemical_formula_sum 'Rb4 Ba2 Cl8'
_cell_length_a 15.5885
_cell_length_b 4.4652
_cell_length_c 9.3141
_cell_angle_alpha 90.00
_cell_angle_beta 123.14
_cell_angle_gamma 90.00
_symmetry_space_group_name_H-M 'C 1 2/m 1'
_symmetry_Int_Tables_number 12
_symmetry_space_group_name_Hall '-C 2y'
loop_
_atom_site_label
_atom_site_fract_x
_atom_site_fract_y
_atom_site_fract_z
Rb1 0.1411 0.0000 0.1899
Ba1 0.0000 0.5000 0.5000
Cl1 0.0441 0.5000 0.8591
Cl2 0.1612 0.0000 0.5835
```



Record 3
# RbBa2VCl8
Computed powder X-ray diffraction pattern, λ = 1.5418 Å (Cu Kα). Input: the PBE geometry in Alexandria.
Kinematic intensities with the Lorentz-polarization factor, no thermal factor.

Most intense lines, 5° ≤ 2θ ≤ 70°, by angle:
2theta	I (rel.)
13.0	100
13.3	44
17.7	31
19.7	38
26.7	35
28.7	30
29.0	29
29.1	51
33.0	31
34.5	28
34.7	30
41.5	32

Crystal structure
```
data_RbBa2VCl8
_chemical_formula_sum 'Rb1 Ba2 V1 Cl8'
_cell_length_a 6.7066
_cell_length_b 7.4095
_cell_length_c 8.9629
_cell_angle_alpha 67.77
_cell_angle_beta 88.36
_cell_angle_gamma 84.43
_symmetry_space_group_name_H-M 'P -1'
_symmetry_Int_Tables_number 2
_symmetry_space_group_name_Hall '-P 1'
loop_
_atom_site_label
_atom_site_fract_x
_atom_site_fract_y
_atom_site_fract_z
Rb1 0.0000 0.0000 0.0000
Ba1 0.4844 0.5498 0.7297
V1 0.0000 0.5000 0.5000
Cl1 0.0086 0.4621 0.2428
Cl2 0.2255 0.7478 0.3960
Cl3 0.2730 0.2555 0.5971
Cl4 0.4522 0.7797 0.9453
```



Record 4
# Rb2BaVCl8
Computed powder X-ray diffraction pattern, λ = 1.5418 Å (Cu Kα). Input: the PBE geometry in Alexandria.
Kinematic intensities with the Lorentz-polarization factor, no thermal factor.

Most intense lines, 5° ≤ 2θ ≤ 70°, by angle:
2theta	I (rel.)
11.7	21
17.2	78
21.8	59
22.8	88
29.4	19
31.6	37
31.9	100
36.9	42
37.3	34
39.6	19
41.0	18
52.8	24

Crystal structure
```
data_Rb2BaVCl8
_chemical_formula_sum 'Rb2 Ba1 V1 Cl8'
_cell_length_a 5.8263
_cell_length_b 7.7682
_cell_length_c 9.1091
_cell_angle_alpha 90.00
_cell_angle_beta 90.02
_cell_angle_gamma 103.87
_symmetry_space_group_name_H-M 'P -1'
_symmetry_Int_Tables_number 2
_symmetry_space_group_name_Hall '-P 1'
loop_
_atom_site_label
_atom_site_fract_x
_atom_site_fract_y
_atom_site_fract_z
Rb1 0.0016 0.0000 0.2630
Ba1 0.5000 0.5000 0.0000
V1 0.5000 0.5000 0.5000
Cl1 0.0017 0.7365 0.9999
Cl2 0.1229 0.3396 0.5001
Cl3 0.4183 0.6907 0.3120
Cl4 0.4187 0.6908 0.6879
```



Record 5
# Ba4RhCl4
Computed powder X-ray diffraction pattern, λ = 1.5418 Å (Cu Kα). Input: the PBE geometry in Alexandria.
Kinematic intensities with the Lorentz-polarization factor, no thermal factor.

Most intense lines, 5° ≤ 2θ ≤ 70°, by angle:
2theta	I (rel.)
9.2	58
11.1	47
24.0	15
26.8	100
27.9	40
31.0	16
32.2	14
36.9	20
38.4	29
39.7	48
46.6	13
49.2	16

Crystal structure
```
data_Ba4RhCl4
_chemical_formula_sum 'Ba8 Rh2 Cl8'
_cell_length_a 16.2504
_cell_length_b 4.5416
_cell_length_c 11.4209
_cell_angle_alpha 90.00
_cell_angle_beta 122.72
_cell_angle_gamma 90.00
_symmetry_space_group_name_H-M 'C 1 2/m 1'
_symmetry_Int_Tables_number 12
_symmetry_space_group_name_Hall '-C 2y'
loop_
_atom_site_label
_atom_site_fract_x
_atom_site_fract_y
_atom_site_fract_z
Ba1 0.0771 0.0000 0.3856
Ba2 0.1914 0.5000 0.7705
Rh1 0.0000 0.5000 0.5000
Cl1 0.1291 0.0000 0.9005
Cl2 0.2132 0.5000 0.3185
```



Record 6
# Ba6Rh2SCl3
Computed powder X-ray diffraction pattern, λ = 1.5418 Å (Cu Kα). Input: the PBE geometry in Alexandria.
Kinematic intensities with the Lorentz-polarization factor, no thermal factor.

Most intense lines, 5° ≤ 2θ ≤ 70°, by angle:
2theta	I (rel.)
11.3	17
22.8	6
23.8	20
27.3	100
35.2	10
38.3	34
39.6	37
48.6	7
48.8	19
56.3	11
62.8	12
64.6	16

Crystal structure
```
data_Ba6Rh2SCl3
_chemical_formula_sum 'Ba12 Rh4 S2 Cl6'
_cell_length_a 7.8792
_cell_length_b 13.6458
_cell_length_c 8.2316
_cell_angle_alpha 90.00
_cell_angle_beta 108.58
_cell_angle_gamma 90.00
_symmetry_space_group_name_H-M 'C 1 2/m 1'
_symmetry_Int_Tables_number 12
_symmetry_space_group_name_Hall '-C 2y'
loop_
_atom_site_label
_atom_site_fract_x
_atom_site_fract_y
_atom_site_fract_z
Ba1 0.2317 0.0000 0.2188
Ba2 0.2434 0.3294 0.2189
Rh1 0.0000 0.1668 0.0000
S1 0.0000 0.5000 0.0000
Cl1 0.0000 0.0000 0.5000
Cl2 0.0000 0.3352 0.5000
```



Please write out number 6 again, unchanged.
# Ba6Rh2SCl3
Computed powder X-ray diffraction pattern, λ = 1.5418 Å (Cu Kα). Input: the PBE geometry in Alexandria.
Kinematic intensities with the Lorentz-polarization factor, no thermal factor.

Most intense lines, 5° ≤ 2θ ≤ 70°, by angle:
2theta	I (rel.)
11.3	17
22.8	6
23.8	20
27.3	100
35.2	10
38.3	34
39.6	37
48.6	7
48.8	19
56.3	11
62.8	12
64.6	16

Crystal structure
```
data_Ba6Rh2SCl3
_chemical_formula_sum 'Ba12 Rh4 S2 Cl6'
_cell_length_a 7.8792
_cell_length_b 13.6458
_cell_length_c 8.2316
_cell_angle_alpha 90.00
_cell_angle_beta 108.58
_cell_angle_gamma 90.00
_symmetry_space_group_name_H-M 'C 1 2/m 1'
_symmetry_Int_Tables_number 12
_symmetry_space_group_name_Hall '-C 2y'
loop_
_atom_site_label
_atom_site_fract_x
_atom_site_fract_y
_atom_site_fract_z
Ba1 0.2317 0.0000 0.2188
Ba2 0.2434 0.3294 0.2189
Rh1 0.0000 0.1668 0.0000
S1 0.0000 0.5000 0.0000
Cl1 0.0000 0.0000 0.5000
Cl2 0.0000 0.3352 0.5000
```